Diffraction record for CrGaI6. The powder diffraction line list is computed, not measured: it uses a crystal structure in Alexandria, relaxed with GGA-PBE and Cu Ka.
Lines closer than 0.1° are merged.

Structural model:
a b c (Å): 7.1107 7.1107 18.9748
angles (deg): 90.00 90.00 120.00
Space group R-3 (No. 148, hexagonal axes)
Asymmetric unit:
1 Cr 0.0000 0.0000 0.0000
2 Ga 0.0000 0.0000 0.5000
3 I 0.0079 0.3511 0.7480

Top 12 peaks for 10 to 90 degrees two-theta, by angle:
d/Å, Rel. int., (hkl)
5.165, 12, 0 1 2
3.555, 10, 1 1 0
3.162, 16, 0 0 6
3.099, 100, 1 1 3
2.363, 28, 2 -1 6
2.053, 27, 3 0 0
1.813, 21, 1 1 9
1.722, 15, 3 0 6
1.711, 16, 4 -2 3
1.314, 13, 1 4 3
1.253, 11, 3 0 12
1.133, 8, 1 4 9

***

Diffraction record for AgPd4. The powder diffraction line list is computed, not measured: it uses a crystal structure in Alexandria, relaxed with GGA-PBE and Cu Ka.
Lines closer than 0.1° are merged.

Structural model:
a b c (Å): 2.8155 3.9847 14.1191
angles (deg): 90.00 90.00 90.00
Space group Immm (No. 71)
Asymmetric unit:
1 Ag 0.0000 0.0000 0.0000
2 Pd 0.0000 0.0000 0.2014
3 Pd 0.0000 0.0000 0.3977

Top 8 peaks for 10 to 90 degrees two-theta, by angle:
d/Å, Rel. int., (hkl)
2.302, 100, 1 1 0
1.993, 48, 0 2 0
1.412, 5, 0 0 10
1.409, 25, 2 0 0
1.203, 12, 1 1 10
1.201, 24, 1 3 0
1.152, 5, 0 2 10
1.150, 5, 2 2 0

***

Diffraction record for Rb8SnTe6. The powder diffraction line list is computed, not measured: it uses a crystal structure in Alexandria, relaxed with GGA-PBE and Cu Ka.
Lines closer than 0.1° are merged.

Structural model:
a b c (Å): 11.0231 9.8987 13.8540
angles (deg): 90.00 90.00 90.00
Space group Pmn2_1 (No. 31)
Asymmetric unit:
1 Rb 0.0000 0.1495 0.0000
2 Rb 0.0000 0.1825 0.5107
3 Rb 0.1730 0.5138 0.1516
4 Rb 0.1826 0.6829 0.8513
5 Rb 0.1962 0.9343 0.2353
6 Sn 0.0000 0.6797 0.5460
7 Te 0.0000 0.2289 0.2594
8 Te 0.0000 0.4615 0.6790
9 Te 0.0000 0.7911 0.0515
10 Te 0.0000 0.9013 0.6744
11 Te 0.2087 0.6688 0.4314

Top 12 peaks for 10 to 90 degrees two-theta, by angle:
d/Å, Rel. int., (hkl)
4.310, 77, 2 0 2
4.027, 76, 0 2 2
3.783, 50, 1 2 2
3.555, 37, 3 0 1
3.084, 50, 3 1 2
2.979, 36, 0 3 2
2.883, 100, 3 2 1
2.875, 56, 3 0 3
2.834, 51, 2 3 0
2.758, 46, 4 0 0
2.523, 33, 2 2 4
1.837, 57, 6 0 0

***

Diffraction record for U2N3. The powder diffraction line list is computed, not measured: it uses a crystal structure in Alexandria, relaxed with GGA-PBE and Cu Ka.
Lines closer than 0.1° are merged.

Structural model:
a b c (Å): 10.6624 10.6624 10.6624
angles (deg): 90.00 90.00 90.00
Space group Ia-3 (No. 206)
Asymmetric unit:
1 U 0.0000 0.0000 0.0000
2 U 0.0000 0.2500 0.2716
3 N 0.1040 0.1328 0.6299

Top 12 peaks for 10 to 90 degrees two-theta, by angle:
d/Å, Rel. int., (hkl)
4.353, 4, 2 1 1
3.078, 100, 2 2 2
2.666, 42, 4 0 0
2.091, 4, 4 3 1
1.885, 40, 4 4 0
1.607, 40, 6 2 2
1.572, 3, 6 3 1
1.539, 10, 4 4 4
1.333, 6, 8 0 0
1.239, 3, 8 1 3
1.223, 15, 6 6 2
1.192, 12, 8 4 0